Structure and simulated XRD peak list of AcLaEr2Se4 (the PBE geometry in Alexandria; Cu Ka).
Neutral-atom scattering factors, no anomalous dispersion.

Cell and atoms:
```
data_AcLaEr2Se4
_chemical_formula_sum 'Ac1 La1 Er2 Se4'
_symmetry_space_group_name_H-M 'P 1'
_symmetry_Int_Tables_number 1
_cell_length_a 7.139
_cell_length_b 4.103
_cell_length_c 7.603
_cell_angle_alpha 90.00
_cell_angle_beta 108.13
_cell_angle_gamma 90.00
loop_
_symmetry_equiv_pos_as_xyz
'x,y,z'
loop_
_atom_site_label
_atom_site_type_symbol
_atom_site_fract_x
_atom_site_fract_y
_atom_site_fract_z
Ac1 Ac 0.000 0.000 0.000
La1 La 0.500 0.500 0.000
Er1 Er 0.000 0.500 0.500
Er2 Er 0.500 0.000 0.500
Se1 Se 0.244 0.000 0.722
Se2 Se 0.264 0.500 0.281
Se3 Se 0.736 0.500 0.719
Se4 Se 0.756 0.000 0.278
```

Peak list (8 most intense, 10 to 80 degrees two-theta, in order of rising 2θ)
2theta	d [Å]	I_rel
26.38	3.379	13
30.03	2.976	100
41.82	2.160	13
41.93	2.154	25
43.99	2.058	24
44.15	2.051	12
54.30	1.689	13
62.41	1.488	12

=====

Structure and simulated XRD peak list of AcLa4Sm2Er (the PBE geometry in Alexandria; Cu Ka).
Neutral-atom scattering factors, no anomalous dispersion.

Cell and atoms:
```
data_AcLa4Sm2Er
_chemical_formula_sum 'Ac1 La4 Sm2 Er1'
_symmetry_space_group_name_H-M 'P 1'
_symmetry_Int_Tables_number 1
_cell_length_a 6.414
_cell_length_b 6.414
_cell_length_c 10.578
_cell_angle_alpha 114.31
_cell_angle_beta 114.31
_cell_angle_gamma 48.44
loop_
_symmetry_equiv_pos_as_xyz
'x,y,z'
loop_
_atom_site_label
_atom_site_type_symbol
_atom_site_fract_x
_atom_site_fract_y
_atom_site_fract_z
Ac1 Ac 0.000 0.000 0.000
La1 La 0.246 0.246 0.869
La2 La 0.252 0.252 0.378
La3 La 0.748 0.748 0.622
La4 La 0.754 0.754 0.131
Sm1 Sm 0.499 0.499 0.256
Sm2 Sm 0.501 0.501 0.744
Er1 Er 0.000 0.000 0.500
```

Peak list (8 most intense, 10 to 80 degrees two-theta, in order of rising 2θ)
2theta	d [Å]	I_rel
29.43	3.035	100
33.90	2.644	17
34.08	2.631	17
34.36	2.610	17
48.83	1.865	12
57.93	1.592	15
58.16	1.586	15
58.54	1.577	14

=====

Structure and simulated XRD peak list of AcLa6Sm2Er (the PBE geometry in Alexandria; Cu Ka).
Neutral-atom scattering factors, no anomalous dispersion.

Cell and atoms:
```
data_AcLa6Sm2Er
_chemical_formula_sum 'Ac1 La6 Sm2 Er1'
_symmetry_space_group_name_H-M 'P 1'
_symmetry_Int_Tables_number 1
_cell_length_a 6.797
_cell_length_b 6.797
_cell_length_c 10.097
_cell_angle_alpha 112.33
_cell_angle_beta 112.33
_cell_angle_gamma 60.69
loop_
_symmetry_equiv_pos_as_xyz
'x,y,z'
loop_
_atom_site_label
_atom_site_type_symbol
_atom_site_fract_x
_atom_site_fract_y
_atom_site_fract_z
Ac1 Ac 0.000 0.000 0.000
La1 La 0.082 0.538 0.668
La2 La 0.354 0.354 0.077
La3 La 0.462 0.918 0.332
La4 La 0.538 0.082 0.668
La5 La 0.646 0.646 0.923
La6 La 0.918 0.462 0.332
Sm1 Sm 0.065 0.065 0.688
Sm2 Sm 0.935 0.935 0.312
Er1 Er 0.500 0.500 0.500
```

Peak list (8 most intense, 10 to 80 degrees two-theta, in order of rising 2θ)
2theta	d [Å]	I_rel
27.81	3.208	59
29.56	3.022	42
29.91	2.987	72
30.26	2.954	81
30.88	2.896	83
31.12	2.874	100
32.13	2.786	51
54.04	1.697	41

=====

Structure and simulated XRD peak list of AcLa4TbEr2 (the PBE geometry in Alexandria; Cu Ka).
Neutral-atom scattering factors, no anomalous dispersion.

Cell and atoms:
```
data_AcLa4TbEr2
_chemical_formula_sum 'Ac1 La4 Tb1 Er2'
_symmetry_space_group_name_H-M 'P 1'
_symmetry_Int_Tables_number 1
_cell_length_a 6.367
_cell_length_b 6.367
_cell_length_c 10.523
_cell_angle_alpha 114.48
_cell_angle_beta 114.48
_cell_angle_gamma 48.69
loop_
_symmetry_equiv_pos_as_xyz
'x,y,z'
loop_
_atom_site_label
_atom_site_type_symbol
_atom_site_fract_x
_atom_site_fract_y
_atom_site_fract_z
Ac1 Ac 0.000 0.000 0.000
La1 La 0.247 0.247 0.869
La2 La 0.251 0.251 0.378
La3 La 0.749 0.749 0.622
La4 La 0.753 0.753 0.131
Tb1 Tb 0.000 0.000 0.500
Er1 Er 0.499 0.499 0.256
Er2 Er 0.501 0.501 0.744
```

Peak list (8 most intense, 10 to 80 degrees two-theta, in order of rising 2θ)
2theta	d [Å]	I_rel
29.61	3.017	100
34.12	2.628	34
34.73	2.583	16
49.48	1.842	24
58.27	1.583	15
58.38	1.581	15
59.13	1.562	14
61.47	1.508	13

=====

Structure and simulated XRD peak list of AcLa2ErTm4 (the PBE geometry in Alexandria; Cu Ka).
Neutral-atom scattering factors, no anomalous dispersion.

Cell and atoms:
```
data_AcLa2ErTm4
_chemical_formula_sum 'Ac2 La4 Er2 Tm8'
_symmetry_space_group_name_H-M 'P 1'
_symmetry_Int_Tables_number 1
_cell_length_a 9.622
_cell_length_b 9.622
_cell_length_c 6.898
_cell_angle_alpha 111.00
_cell_angle_beta 111.00
_cell_angle_gamma 88.42
loop_
_symmetry_equiv_pos_as_xyz
'x,y,z'
loop_
_atom_site_label
_atom_site_type_symbol
_atom_site_fract_x
_atom_site_fract_y
_atom_site_fract_z
Ac1 Ac 0.000 0.500 0.000
Ac2 Ac 0.500 0.000 0.500
La1 La 0.000 0.000 0.000
La2 La 0.000 0.000 0.500
La3 La 0.000 0.500 0.500
La4 La 0.500 0.000 0.000
Er1 Er 0.500 0.500 0.000
Er2 Er 0.500 0.500 0.500
Tm1 Tm 0.250 0.268 0.509
Tm2 Tm 0.257 0.743 0.511
Tm3 Tm 0.257 0.743 0.989
Tm4 Tm 0.268 0.250 0.009
Tm5 Tm 0.732 0.750 0.991
Tm6 Tm 0.743 0.257 0.011
Tm7 Tm 0.743 0.257 0.489
Tm8 Tm 0.750 0.732 0.491
```

Peak list (8 most intense, 10 to 80 degrees two-theta, in order of rising 2θ)
2theta	d [Å]	I_rel
26.57	3.355	45
29.92	2.987	100
40.44	2.231	87
53.11	1.725	13
60.35	1.534	27
62.16	1.493	12
63.62	1.462	22
68.81	1.364	18

=====

Structure and simulated XRD peak list of Li2AcErPd5 (the PBE geometry in Alexandria; Cu Ka).
Neutral-atom scattering factors, no anomalous dispersion.

Cell and atoms:
```
data_Li2AcErPd5
_chemical_formula_sum 'Li2 Ac1 Er1 Pd5'
_symmetry_space_group_name_H-M 'P 1'
_symmetry_Int_Tables_number 1
_cell_length_a 4.533
_cell_length_b 4.533
_cell_length_c 8.004
_cell_angle_alpha 90.00
_cell_angle_beta 90.00
_cell_angle_gamma 90.00
loop_
_symmetry_equiv_pos_as_xyz
'x,y,z'
loop_
_atom_site_label
_atom_site_type_symbol
_atom_site_fract_x
_atom_site_fract_y
_atom_site_fract_z
Li1 Li 0.000 0.000 0.141
Li2 Li 0.000 0.000 0.859
Ac1 Ac 0.500 0.500 0.500
Er1 Er 0.500 0.500 0.000
Pd1 Pd 0.000 0.000 0.500
Pd2 Pd 0.000 0.500 0.239
Pd3 Pd 0.000 0.500 0.761
Pd4 Pd 0.500 0.000 0.239
Pd5 Pd 0.500 0.000 0.761
```

Peak list (8 most intense, 10 to 80 degrees two-theta, in order of rising 2θ)
2theta	d [Å]	I_rel
19.58	4.533	18
29.78	3.000	15
35.89	2.502	100
39.77	2.267	39
45.32	2.001	12
57.50	1.603	13
61.85	1.500	20
69.67	1.350	29